Record 1
This entry pairs a crystal structure of Ba2MnO5 with its calculated powder diffraction line list. Radiation: Cu Ka. Structure: the GGA+U geometry in Alexandria.

Crystal structure
Unit cell a=5.707 b=5.707 c=5.707 alpha=115.85 beta=115.85 gamma=97.35
Positions (direct):
Ba: 0.000 0.500 0.500
Ba: 0.500 0.000 0.500
Mn: 0.286 0.286 0.000
O: 0.018 0.018 0.592
O: 0.018 0.426 0.000
O: 0.426 0.018 0.000
O: 0.426 0.426 0.408
O: 0.504 0.504 0.000

Top 10 peaks for 2θ from 10° to 90°, sorted by position:
d [Å]  2θ (°)  Rel. int.
4.723  18.8  26
4.285  20.7  51
3.768  23.6  15
3.030  29.5  51
2.830  31.6  100
2.361  38.1  52
2.143  42.2  35
1.916  47.4  15
1.708  53.7  40
1.600  57.6  16

---

Record 2
This entry pairs a crystal structure of Ba8Mn8O21 with its calculated powder diffraction line list. Radiation: Cu Ka. Structure: the GGA+U geometry in Alexandria.

Crystal structure
Unit cell a=5.784 b=9.595 c=10.063 alpha=90.00 beta=90.41 gamma=90.00
Positions (direct):
Ba: 0.000 0.000 0.000
Ba: 0.016 0.236 0.664
Ba: 0.016 0.764 0.664
Ba: 0.017 0.500 0.331
Ba: 0.495 0.500 0.832
Ba: 0.515 0.283 0.171
Ba: 0.515 0.717 0.171
Ba: 0.517 0.000 0.500
Mn: 0.009 0.362 0.999
Mn: 0.009 0.638 0.999
Mn: 0.493 0.358 0.496
Mn: 0.493 0.642 0.496
Mn: 0.510 0.147 0.831
Mn: 0.510 0.853 0.831
Mn: 0.991 0.144 0.331
Mn: 0.991 0.856 0.331
O: 0.002 0.500 0.852
O: 0.017 0.249 0.160
O: 0.017 0.751 0.160
O: 0.023 0.000 0.470
O: 0.230 0.500 0.070
O: 0.259 0.233 0.400
O: 0.259 0.767 0.400
O: 0.260 0.248 0.923
O: 0.260 0.752 0.923
O: 0.282 0.500 0.574
O: 0.292 0.000 0.782
O: 0.517 0.500 0.353
O: 0.518 0.259 0.662
O: 0.518 0.741 0.662
O: 0.729 0.000 0.784
O: 0.758 0.248 0.925
O: 0.758 0.752 0.925
O: 0.762 0.267 0.429
O: 0.762 0.733 0.429
O: 0.779 0.000 0.248
O: 0.793 0.500 0.073

Top 10 peaks for 2θ from 10° to 90°, sorted by position:
d [Å]  2θ (°)  Rel. int.
3.468  25.7  100
2.911  30.7  50
2.892  30.9  97
2.697  33.2  71
2.228  40.5  45
2.217  40.7  22
1.977  45.9  28
1.969  46.1  13
1.677  54.7  19
1.446  64.4  18

---

Record 3
This entry pairs a crystal structure of BaMn4O8 with its calculated powder diffraction line list. Radiation: Cu Ka. Structure: the GGA+U geometry in Alexandria.

Crystal structure
Unit cell a=5.628 b=5.628 c=8.136 alpha=90.00 beta=90.00 gamma=120.00
Positions (direct):
Ba: 0.000 0.000 0.000
Mn: 0.333 0.667 0.230
Mn: 0.333 0.667 0.770
Mn: 0.667 0.333 0.230
Mn: 0.667 0.333 0.770
O: 0.000 0.356 0.271
O: 0.000 0.644 0.729
O: 0.333 0.667 0.000
O: 0.356 0.000 0.271
O: 0.356 0.356 0.729
O: 0.644 0.000 0.729
O: 0.644 0.644 0.271
O: 0.667 0.333 0.000

Top 10 peaks for 2θ from 10° to 90°, sorted by position:
d [Å]  2θ (°)  Rel. int.
8.136  10.9  98
4.181  21.3  39
3.123  28.6  100
2.814  31.8  82
2.659  33.7  57
2.091  43.3  26
1.678  54.7  29
1.648  55.8  28
1.625  56.6  29
1.408  66.4  25

---

Record 4
This entry pairs a crystal structure of BaMn2O8 with its calculated powder diffraction line list. Radiation: Cu Ka. Structure: the GGA+U geometry in Alexandria.

Crystal structure
Unit cell a=9.700 b=8.446 c=7.127 alpha=76.53 beta=57.87 gamma=45.60
Positions (direct):
Ba: 0.125 0.125 0.125
Ba: 0.875 0.875 0.875
Mn: 0.178 0.572 0.178
Mn: 0.428 0.822 0.428
Mn: 0.572 0.178 0.572
Mn: 0.822 0.428 0.822
O: 0.061 0.640 0.447
O: 0.064 0.519 0.132
O: 0.132 0.784 0.064
O: 0.216 0.868 0.481
O: 0.352 0.447 0.640
O: 0.360 0.939 0.648
O: 0.447 0.352 0.061
O: 0.481 0.936 0.216
O: 0.519 0.064 0.784
O: 0.553 0.648 0.939
O: 0.640 0.061 0.352
O: 0.648 0.553 0.360
O: 0.784 0.132 0.519
O: 0.868 0.216 0.936
O: 0.936 0.481 0.868
O: 0.939 0.360 0.553

Top 10 peaks for 2θ from 10° to 90°, sorted by position:
d [Å]  2θ (°)  Rel. int.
5.873  15.1  42
3.785  23.5  80
3.463  25.7  100
3.356  26.6  93
2.908  30.8  48
2.306  39.1  53
2.250  40.1  48
2.200  41.0  18
1.958  46.4  19
1.848  49.3  15

---

Record 5
This entry pairs a crystal structure of BaMn5O11 with its calculated powder diffraction line list. Radiation: Cu Ka. Structure: the GGA+U geometry in Alexandria.

Crystal structure
Unit cell a=7.104 b=7.104 c=9.605 alpha=90.99 beta=90.99 gamma=25.01
Positions (direct):
Ba: 0.000 0.000 0.000
Mn: 0.093 0.093 0.354
Mn: 0.251 0.251 0.864
Mn: 0.409 0.409 0.382
Mn: 0.745 0.745 0.598
Mn: 0.757 0.757 0.135
O: 0.180 0.180 0.692
O: 0.182 0.182 0.202
O: 0.315 0.315 0.526
O: 0.329 0.329 0.034
O: 0.499 0.499 0.782
O: 0.521 0.521 0.258
O: 0.654 0.654 0.447
O: 0.679 0.679 0.954
O: 0.818 0.818 0.785
O: 0.853 0.853 0.279
O: 0.978 0.978 0.467

Top 10 peaks for 2θ from 10° to 90°, sorted by position:
d [Å]  2θ (°)  Rel. int.
4.802  18.5  54
3.915  22.7  57
3.467  25.7  71
3.280  27.2  79
2.887  31.0  70
2.542  35.3  91
2.481  36.2  65
2.269  39.7  100
1.884  48.3  58
1.581  58.4  55

---

Record 6
This entry pairs a crystal structure of BaMn2O5 with its calculated powder diffraction line list. Radiation: Cu Ka. Structure: the GGA+U geometry in Alexandria.

Crystal structure
Unit cell a=6.447 b=6.447 c=3.863 alpha=90.00 beta=90.00 gamma=142.43
Positions (direct):
Ba: 0.000 0.000 0.000
Mn: 0.336 0.664 0.500
Mn: 0.664 0.336 0.500
O: 0.179 0.821 0.500
O: 0.353 0.647 0.000
O: 0.500 0.500 0.500
O: 0.647 0.353 0.000
O: 0.821 0.179 0.500

Top 10 peaks for 2θ from 10° to 90°, sorted by position:
d [Å]  2θ (°)  Rel. int.
3.264  27.3  87
2.906  30.8  100
2.755  32.5  99
2.395  37.6  28
2.076  43.6  38
2.035  44.5  33
1.931  47.1  30
1.848  49.3  31
1.752  52.2  28
1.609  57.3  33

---

Record 7
This entry pairs a crystal structure of BaMn6O12 with its calculated powder diffraction line list. Radiation: Cu Ka. Structure: the GGA+U geometry in Alexandria.

Crystal structure
Unit cell a=8.287 b=8.287 c=9.946 alpha=125.55 beta=125.55 gamma=64.91
Positions (direct):
Ba: 0.220 0.780 0.000
Ba: 0.780 0.220 0.000
Mn: 0.018 0.687 0.522
Mn: 0.162 0.162 0.815
Mn: 0.171 0.503 0.185
Mn: 0.313 0.982 0.478
Mn: 0.353 0.353 0.522
Mn: 0.497 0.829 0.815
Mn: 0.503 0.171 0.185
Mn: 0.647 0.647 0.478
Mn: 0.687 0.018 0.522
Mn: 0.829 0.497 0.815
Mn: 0.838 0.838 0.185
Mn: 0.982 0.313 0.478
O: 0.124 0.457 0.938
O: 0.127 0.791 0.271
O: 0.148 0.148 0.603
O: 0.159 0.159 0.352
O: 0.173 0.507 0.644
O: 0.180 0.516 0.392
O: 0.206 0.206 0.064
O: 0.209 0.873 0.729
O: 0.457 0.124 0.938
O: 0.457 0.457 0.277
O: 0.484 0.820 0.608
O: 0.493 0.827 0.356
O: 0.507 0.173 0.644
O: 0.516 0.180 0.392
O: 0.543 0.543 0.723
O: 0.543 0.876 0.062
O: 0.791 0.127 0.271
O: 0.794 0.794 0.936
O: 0.820 0.484 0.608
O: 0.827 0.493 0.356
O: 0.841 0.841 0.648
O: 0.852 0.852 0.397
O: 0.873 0.209 0.729
O: 0.876 0.543 0.062

Top 10 peaks for 2θ from 10° to 90°, sorted by position:
d [Å]  2θ (°)  Rel. int.
3.785  23.5  19
3.753  23.7  18
3.229  27.6  26
3.174  28.1  100
3.122  28.6  25
2.469  36.4  26
2.229  40.5  24
2.209  40.9  21
1.657  55.5  18
1.574  58.7  20

---

Record 8
This entry pairs a crystal structure of Ba3Mn2O6 with its calculated powder diffraction line list. Radiation: Cu Ka. Structure: the GGA+U geometry in Alexandria.

Crystal structure
Unit cell a=11.326 b=11.326 c=11.326 alpha=159.49 beta=159.49 gamma=29.17
Positions (direct):
Ba: 0.000 0.000 0.000
Ba: 0.183 0.183 0.000
Ba: 0.817 0.817 0.000
Mn: 0.399 0.399 0.000
Mn: 0.601 0.601 0.000
O: 0.087 0.587 0.500
O: 0.307 0.307 0.000
O: 0.413 0.913 0.500
O: 0.587 0.087 0.500
O: 0.693 0.693 0.000
O: 0.913 0.413 0.500

Top 10 peaks for 2θ from 10° to 90°, sorted by position:
d [Å]  2θ (°)  Rel. int.
3.966  22.4  20
2.968  30.1  100
2.852  31.4  53
2.248  40.1  28
2.192  41.2  10
2.016  45.0  31
1.787  51.1  10
1.738  52.7  13
1.668  55.1  36
1.484  62.6  11

---

Record 9
This entry pairs a crystal structure of BaMn8O16 with its calculated powder diffraction line list. Radiation: Cu Ka. Structure: the GGA+U geometry in Alexandria.

Crystal structure
Unit cell a=9.905 b=5.933 c=13.994 alpha=90.00 beta=134.01 gamma=90.00
Positions (direct):
Ba: 0.000 0.132 0.250
Ba: 0.000 0.868 0.750
Mn: 0.184 0.125 0.588
Mn: 0.184 0.374 0.085
Mn: 0.184 0.626 0.585
Mn: 0.184 0.875 0.088
Mn: 0.476 0.375 0.896
Mn: 0.476 0.625 0.396
Mn: 0.486 0.124 0.401
Mn: 0.486 0.876 0.901
Mn: 0.514 0.124 0.099
Mn: 0.514 0.876 0.599
Mn: 0.524 0.375 0.604
Mn: 0.524 0.625 0.104
Mn: 0.816 0.125 0.912
Mn: 0.816 0.374 0.415
Mn: 0.816 0.626 0.915
Mn: 0.816 0.875 0.412
O: 0.058 0.121 0.957
O: 0.058 0.371 0.457
O: 0.058 0.629 0.957
O: 0.058 0.879 0.457
O: 0.277 0.126 0.208
O: 0.277 0.874 0.708
O: 0.278 0.377 0.706
O: 0.278 0.623 0.206
O: 0.352 0.115 0.907
O: 0.352 0.885 0.407
O: 0.360 0.366 0.411
O: 0.360 0.634 0.911
O: 0.385 0.124 0.595
O: 0.385 0.876 0.095
O: 0.388 0.373 0.096
O: 0.388 0.627 0.596
O: 0.612 0.373 0.404
O: 0.612 0.627 0.904
O: 0.615 0.124 0.905
O: 0.615 0.876 0.405
O: 0.640 0.366 0.089
O: 0.640 0.634 0.589
O: 0.648 0.115 0.593
O: 0.648 0.885 0.093
O: 0.722 0.377 0.794
O: 0.722 0.623 0.294
O: 0.723 0.126 0.292
O: 0.723 0.874 0.792
O: 0.942 0.121 0.543
O: 0.942 0.371 0.043
O: 0.942 0.629 0.543
O: 0.942 0.879 0.043

Top 10 peaks for 2θ from 10° to 90°, sorted by position:
d [Å]  2θ (°)  Rel. int.
5.101  17.4  32
3.565  25.0  28
3.195  27.9  25
3.157  28.3  100
2.473  36.3  34
2.469  36.4  38
2.223  40.6  33
2.206  40.9  31
1.863  48.9  25
1.572  58.7  45

---

Record 10
This entry pairs a crystal structure of BaMn2O8 with its calculated powder diffraction line list. Radiation: Cu Ka. Structure: the GGA+U geometry in Alexandria.

Crystal structure
Unit cell a=10.850 b=8.578 c=7.681 alpha=83.52 beta=51.77 gamma=44.70
Positions (direct):
Ba: 0.125 0.125 0.125
Ba: 0.875 0.875 0.875
Mn: 0.129 0.621 0.129
Mn: 0.379 0.871 0.379
Mn: 0.621 0.129 0.621
Mn: 0.871 0.379 0.871
O: 0.022 0.179 0.554
O: 0.117 0.368 0.625
O: 0.179 0.022 0.745
O: 0.255 0.446 0.821
O: 0.368 0.117 0.390
O: 0.375 0.610 0.883
O: 0.390 0.625 0.368
O: 0.446 0.255 0.978
O: 0.554 0.745 0.022
O: 0.610 0.375 0.632
O: 0.625 0.390 0.117
O: 0.632 0.883 0.610
O: 0.745 0.554 0.179
O: 0.821 0.978 0.255
O: 0.883 0.632 0.375
O: 0.978 0.821 0.446

Top 10 peaks for 2θ from 10° to 90°, sorted by position:
d [Å]  2θ (°)  Rel. int.
4.864  18.2  59
4.067  21.9  98
3.714  24.0  61
3.591  24.8  100
2.998  29.8  51
2.742  32.7  50
2.585  34.7  36
2.300  39.2  32
2.098  43.1  90
1.695  54.1  41